Diffraction record for PmPrAu3. The powder diffraction line list is computed, not measured: it uses a cell relaxed with GGA-PBE and Cu Ka.
Kinematic intensities with the Lorentz-polarization factor, no thermal factor.

Structure:
abc: 9.5630 6.5354 7.8343
angles: 90.00 93.11 90.00
Sites, in units of the cell vectors:
Pm 0.0759 0.1745 0.3230
Pm 0.0759 0.3255 0.8230
Pm 0.9241 0.6745 0.1770
Pm 0.9241 0.8255 0.6770
Pr 0.3993 0.6513 0.8075
Pr 0.3993 0.8487 0.3075
Pr 0.6007 0.1513 0.6925
Pr 0.6007 0.3487 0.1925
Au 0.1383 0.6158 0.4816
Au 0.1383 0.8842 0.9816
Au 0.2440 0.0090 0.6292
Au 0.2440 0.4910 0.1292
Au 0.3772 0.1468 0.9628
Au 0.3772 0.3532 0.4628
Au 0.6228 0.6468 0.5372
Au 0.6228 0.8532 0.0372
Au 0.7560 0.5090 0.8708
Au 0.7560 0.9910 0.3708
Au 0.8617 0.1158 0.0184
Au 0.8617 0.3842 0.5184

The 8 most intense peaks (2θ from 15° to 90°), low angle first:
30.91 deg, I = 406, hkl 1 2 -1
31.87 deg, I = 646, hkl 2 1 -2
33.34 deg, I = 981, hkl 2 1 2
34.86 deg, I = 1000, hkl 2 2 -1
35.38 deg, I = 642, hkl 3 0 -2
35.54 deg, I = 702, hkl 2 2 1
37.12 deg, I = 901, hkl 0 1 3
69.76 deg, I = 386, hkl 4 4 0